# 1
The following is a simulated X-ray diffraction stick pattern of ZnTe5. It was derived from a DFT-relaxed cell (GGA-PBE, Alexandria), using Cu Kα, 1.54184 Å.

The 10 most intense peaks (2θ from 5° to 70°), in order of rising 2θ:
2θ 11.54, intensity 43; 2θ 11.69, intensity 69; 2θ 13.55, intensity 58; 2θ 22.62, intensity 37; 2θ 23.54, intensity 100; 2θ 27.07, intensity 82; 2θ 27.22, intensity 46; 2θ 31.79, intensity 40; 2θ 34.75, intensity 52; 2θ 43.59, intensity 52

Structural model:
```
data_ZnTe5
_chemical_formula_sum 'Zn2 Te10'
_symmetry_space_group_name_H-M 'C 1 m 1'
_symmetry_Int_Tables_number 8
_symmetry_space_group_name_Hall 'C -2y'
_cell_length_a 16.194
_cell_length_b 4.306
_cell_length_c 7.992
_cell_angle_alpha 90.00
_cell_angle_beta 108.72
_cell_angle_gamma 90.00
loop_
_atom_site_label
_atom_site_type_symbol
_atom_site_fract_x
_atom_site_fract_y
_atom_site_fract_z
Zn1 Zn 0.000 0.000 0.000
Te1 Te 0.025 0.500 0.206
Te2 Te 0.132 0.500 0.791
Te3 Te 0.271 0.000 0.865
Te4 Te 0.357 0.000 0.226
Te5 Te 0.490 0.500 0.675
```

# 2
The following is a simulated X-ray diffraction stick pattern of Rb5As2Se6. It was derived from a DFT-relaxed cell (GGA-PBE, Alexandria), using Cu Kα, 1.54184 Å.

The 10 most intense peaks (2θ from 5° to 70°), in order of rising 2θ:
2θ 14.63, intensity 31; 2θ 26.03, intensity 100; 2θ 26.41, intensity 75; 2θ 27.31, intensity 52; 2θ 27.65, intensity 68; 2θ 28.62, intensity 95; 2θ 31.14, intensity 93; 2θ 32.53, intensity 48; 2θ 35.50, intensity 53; 2θ 36.20, intensity 33

Structural model:
```
data_Rb5As2Se6
_chemical_formula_sum 'Rb10 As4 Se12'
_symmetry_space_group_name_H-M 'P 1 21/c 1'
_symmetry_Int_Tables_number 14
_symmetry_space_group_name_Hall '-P 2ybc'
_cell_length_a 5.082
_cell_length_b 13.956
_cell_length_c 13.950
_cell_angle_alpha 90.00
_cell_angle_beta 105.57
_cell_angle_gamma 90.00
loop_
_atom_site_label
_atom_site_type_symbol
_atom_site_fract_x
_atom_site_fract_y
_atom_site_fract_z
Rb1 Rb 0.000 0.000 0.000
Rb2 Rb 0.057 0.066 0.307
Rb3 Rb 0.190 0.718 0.985
As1 As 0.475 0.184 0.724
Se1 Se 0.025 0.671 0.700
Se2 Se 0.370 0.072 0.589
Se3 Se 0.432 0.158 0.149
```